# 1
# MgHg2Os
Theoretical powder diffractogram, Cu Kα (λ = 1.5418 Å). Input: the PBE geometry in Alexandria.
Kinematic intensities with the Lorentz-polarization factor, no thermal factor.

Principal peaks in the range 5° ≤ 2θ ≤ 70°, by angle:
- hkl 0 1 1, 21.32°, I = 15.8
- hkl 0 0 4, 36.82°, I = 26.6
- hkl 1 1 2, 38.14°, I = 100.0
- hkl 0 2 0, 39.09°, I = 23.6
- hkl 0 2 4, 54.78°, I = 17.2
- hkl 1 1 6, 67.19°, I = 18.4

Cell and atoms:
```
data_MgHg2Os
_chemical_formula_sum 'Mg2 Hg4 Os2'
_symmetry_space_group_name_H-M 'I m m 2'
_symmetry_Int_Tables_number 44
_symmetry_space_group_name_Hall 'I 2 -2'
_cell_length_a 3.323
_cell_length_b 4.608
_cell_length_c 9.765
_cell_angle_alpha 90.00
_cell_angle_beta 90.00
_cell_angle_gamma 90.00
loop_
_atom_site_label
_atom_site_type_symbol
_atom_site_fract_x
_atom_site_fract_y
_atom_site_fract_z
Mg1 Mg 0.000 0.000 0.000
Hg1 Hg 0.000 0.000 0.463
Hg2 Hg 0.000 0.500 0.229
Os1 Os 0.000 0.500 0.723
```



# 2
# MgHg2P
Theoretical powder diffractogram, Cu Kα (λ = 1.5418 Å). Input: the PBE geometry in Alexandria.
Kinematic intensities with the Lorentz-polarization factor, no thermal factor.

Principal peaks in the range 5° ≤ 2θ ≤ 70°, by angle:
- hkl 0 0 1, 13.64°, I = 87.1
- hkl 0 1 1, 27.94°, I = 41.3
- hkl 1 0 1, 31.01°, I = 28.2
- hkl 1 0 -2, 31.22°, I = 28.0
- hkl 1 1 0, 34.50°, I = 100.0
- hkl 0 1 2, 36.99°, I = 47.6

Cell and atoms:
```
data_MgHg2P
_chemical_formula_sum 'Mg1 Hg2 P1'
_symmetry_space_group_name_H-M 'P 1 m 1'
_symmetry_Int_Tables_number 6
_symmetry_space_group_name_Hall 'P -2y'
_cell_length_a 3.845
_cell_length_b 3.667
_cell_length_c 6.759
_cell_angle_alpha 90.00
_cell_angle_beta 106.15
_cell_angle_gamma 90.00
loop_
_atom_site_label
_atom_site_type_symbol
_atom_site_fract_x
_atom_site_fract_y
_atom_site_fract_z
Mg1 Mg 0.000 0.000 0.000
Hg1 Hg 0.308 0.000 0.619
Hg2 Hg 0.694 0.500 0.389
P1 P 0.494 0.500 0.985
```



# 3
# MgPaHg
Theoretical powder diffractogram, Cu Kα (λ = 1.5418 Å). Input: the PBE geometry in Alexandria.
Kinematic intensities with the Lorentz-polarization factor, no thermal factor.

Principal peaks in the range 5° ≤ 2θ ≤ 70°, by angle:
- hkl 0 0 2, 12.79°, I = 34.5
- hkl 1 0 1, 28.90°, I = 30.3
- hkl 1 0 3, 34.33°, I = 100.0
- hkl 1 1 0, 40.24°, I = 33.0
- hkl 1 1 6, 57.32°, I = 22.7
- hkl 2 1 3, 69.35°, I = 26.9

Cell and atoms:
```
data_MgPaHg
_chemical_formula_sum 'Mg2 Pa2 Hg2'
_symmetry_space_group_name_H-M 'I 4 m m'
_symmetry_Int_Tables_number 107
_symmetry_space_group_name_Hall 'I 4 -2'
_cell_length_a 3.170
_cell_length_b 3.170
_cell_length_c 13.839
_cell_angle_alpha 90.00
_cell_angle_beta 90.00
_cell_angle_gamma 90.00
loop_
_atom_site_label
_atom_site_type_symbol
_atom_site_fract_x
_atom_site_fract_y
_atom_site_fract_z
Mg1 Mg 0.000 0.000 0.000
Pa1 Pa 0.000 0.000 0.681
Hg1 Hg 0.000 0.000 0.356
```



# 4
# Mg5HgPb4
Theoretical powder diffractogram, Cu Kα (λ = 1.5418 Å). Input: the PBE geometry in Alexandria.
Kinematic intensities with the Lorentz-polarization factor, no thermal factor.

Principal peaks in the range 5° ≤ 2θ ≤ 70°, by angle:
- hkl 0 0 5, 21.15°, I = 46.5
- hkl 1 0 0, 25.71°, I = 60.8
- hkl 1 0 5, 33.53°, I = 100.0
- hkl 1 1 0, 36.68°, I = 41.4
- hkl 1 1 5, 42.72°, I = 32.0
- hkl 2 1 5, 64.05°, I = 31.7

Cell and atoms:
```
data_Mg5HgPb4
_chemical_formula_sum 'Mg5 Hg1 Pb4'
_symmetry_space_group_name_H-M 'P 4/m m m'
_symmetry_Int_Tables_number 123
_symmetry_space_group_name_Hall '-P 4 2'
_cell_length_a 3.465
_cell_length_b 3.465
_cell_length_c 21.008
_cell_angle_alpha 90.00
_cell_angle_beta 90.00
_cell_angle_gamma 90.00
loop_
_atom_site_label
_atom_site_type_symbol
_atom_site_fract_x
_atom_site_fract_y
_atom_site_fract_z
Mg1 Mg 0.000 0.000 0.000
Mg2 Mg 0.000 0.000 0.206
Mg3 Mg 0.000 0.000 0.415
Hg1 Hg 0.500 0.500 0.500
Pb1 Pb 0.500 0.500 0.103
Pb2 Pb 0.500 0.500 0.310
```



# 5
# Mg7Hg2Pb
Theoretical powder diffractogram, Cu Kα (λ = 1.5418 Å). Input: the PBE geometry in Alexandria.
Kinematic intensities with the Lorentz-polarization factor, no thermal factor.

Principal peaks in the range 5° ≤ 2θ ≤ 70°, by angle:
- hkl 0 0 3, 22.29°, I = 35.4
- hkl 1 0 1, 22.48°, I = 100.0
- hkl 0 1 2, 25.96°, I = 49.0
- hkl 1 0 4, 36.92°, I = 51.2
- hkl 1 1 0, 37.17°, I = 52.9
- hkl 1 1 3, 43.77°, I = 37.9

Cell and atoms:
```
data_Mg7Hg2Pb
_chemical_formula_sum 'Mg7 Hg2 Pb1'
_symmetry_space_group_name_H-M 'P 3 m 1'
_symmetry_Int_Tables_number 156
_symmetry_space_group_name_Hall 'P 3 -2"'
_cell_length_a 4.8381
_cell_length_b 4.8381
_cell_length_c 11.9677
_cell_angle_alpha 90.00
_cell_angle_beta 90.00
_cell_angle_gamma 120.00
loop_
_atom_site_label
_atom_site_type_symbol
_atom_site_fract_x
_atom_site_fract_y
_atom_site_fract_z
Mg1 Mg 0.0000 0.0000 0.0000
Mg2 Mg 0.0000 0.0000 0.2522
Mg3 Mg 0.0000 0.0000 0.7178
Mg4 Mg 0.3333 0.6667 0.3996
Mg5 Mg 0.3333 0.6667 0.9027
Mg6 Mg 0.6667 0.3333 0.1105
Mg7 Mg 0.6667 0.3333 0.5540
Hg1 Hg 0.0000 0.0000 0.4848
Hg2 Hg 0.3333 0.6667 0.1514
Pb1 Pb 0.6667 0.3333 0.8205
```



# 6
# MgHg7Pb2
Theoretical powder diffractogram, Cu Kα (λ = 1.5418 Å). Input: the PBE geometry in Alexandria.
Kinematic intensities with the Lorentz-polarization factor, no thermal factor.

Principal peaks in the range 5° ≤ 2θ ≤ 70°, by angle:
- hkl 0 1 3, 29.64°, I = 47.9
- hkl 0 3 0, 31.61°, I = 84.4
- hkl 1 -2 0, 33.07°, I = 43.5
- hkl 0 2 -3, 33.91°, I = 100.0
- hkl 0 2 3, 35.27°, I = 38.5
- hkl 1 2 -1, 36.79°, I = 38.2

Cell and atoms:
```
data_MgHg7Pb2
_chemical_formula_sum 'Mg1 Hg7 Pb2'
_symmetry_space_group_name_H-M 'P -1'
_symmetry_Int_Tables_number 2
_symmetry_space_group_name_Hall '-P 1'
_cell_length_a 3.280
_cell_length_b 8.532
_cell_length_c 9.838
_cell_angle_alpha 91.93
_cell_angle_beta 93.13
_cell_angle_gamma 95.13
loop_
_atom_site_label
_atom_site_type_symbol
_atom_site_fract_x
_atom_site_fract_y
_atom_site_fract_z
Mg1 Mg 0.000 0.000 0.000
Hg1 Hg 0.000 0.500 0.000
Hg2 Hg 0.284 0.159 0.490
Hg3 Hg 0.415 0.793 0.818
Hg4 Hg 0.485 0.192 0.810
Pb1 Pb 0.207 0.500 0.344
```